This entry pairs a crystal structure of BPd2Br with its calculated XRD peak list. Radiation: a wavelength of 1.5418 Å. Structure: a crystal structure in the Materials Project, relaxed with PBE.
Intensities are scaled so that the largest is 100.

Largest 8 diffraction maxima, sorted by position, 5° ≤ 2θ ≤ 70°:
2θ/deg, I/Imax
24.40, 28.8
28.25, 7.6
40.37, 100.0
47.74, 14.4
50.00, 2.1
58.42, 16.4
64.26, 5.8
66.14, 2.7

Structure:
Unit cell a=6.3187 b=6.3187 c=6.3187 alpha=90.00 beta=90.00 gamma=90.00
Space group F-43m (No. 216)
Symmetry-distinct sites (fractional):
B  0.0000  0.0000  0.0000
Pd  0.0000  0.0000  0.5000
Pd  0.2500  0.2500  0.7500
Br  0.2500  0.2500  0.2500